# 1
This entry pairs a crystal structure of Hf2SiC with its theoretical PXRD pattern. Radiation: CuKα. Structure: a crystal structure in Alexandria, relaxed with GGA-PBE.
Neutral-atom scattering factors, no anomalous dispersion.

Atomic structure:
```
data_Hf2SiC
_space_group_name_H-M_alt 'C m c m'
_space_group_IT_number 63
_space_group_name_Hall '-C 2c 2'
_cell_length_a 3.527
_cell_length_b 19.337
_cell_length_c 3.541
_cell_angle_alpha 90.00
_cell_angle_beta 90.00
_cell_angle_gamma 90.00
loop_
_atom_site_label
_atom_site_fract_x
_atom_site_fract_y
_atom_site_fract_z
Hf1 0.000 0.080 0.250
Hf2 0.000 0.306 0.250
Si1 0.000 0.458 0.250
C1 0.000 0.193 0.250
```

Main lines, by angle (5° ≤ 2θ ≤ 70°):
2θ = 31.31°, d 2.856, intensity 90.7, (0 4 1)
2θ = 34.41°, d 2.606, intensity 77.9, (1 5 0)
2θ = 36.25°, d 2.478, intensity 100.0, (1 1 1)
2θ = 37.20°, d 2.417, intensity 30.4, (0 8 0)
2θ = 56.48°, d 1.629, intensity 45.2, (1 9 1)
2θ = 61.82°, d 1.501, intensity 27.3, (2 4 1)

=====

# 2
This entry pairs a crystal structure of MnFe3Si8 with its theoretical PXRD pattern. Radiation: CuKα. Structure: a crystal structure in Alexandria, relaxed with GGA-PBE.
Neutral-atom scattering factors, no anomalous dispersion.

Atomic structure:
```
data_MnFe3Si8
_space_group_name_H-M_alt 'P 4/m m m'
_space_group_IT_number 123
_space_group_name_Hall '-P 4 2'
_cell_length_a 2.713
_cell_length_b 2.713
_cell_length_c 20.558
_cell_angle_alpha 90.00
_cell_angle_beta 90.00
_cell_angle_gamma 90.00
loop_
_atom_site_label
_atom_site_fract_x
_atom_site_fract_y
_atom_site_fract_z
Mn1 0.000 0.000 0.000
Fe1 0.000 0.000 0.251
Fe2 0.000 0.000 0.500
Si1 0.500 0.500 0.068
Si2 0.500 0.500 0.182
Si3 0.500 0.500 0.318
Si4 0.500 0.500 0.432
```

Main lines, by angle (5° ≤ 2θ ≤ 70°):
2θ = 17.25°, d 5.139, intensity 81.5, (0 0 4)
2θ = 37.48°, d 2.399, intensity 76.8, (1 0 4)
2θ = 47.39°, d 1.918, intensity 57.1, (1 1 0)
2θ = 48.81°, d 1.866, intensity 100.0, (1 0 8)
2θ = 50.80°, d 1.797, intensity 17.3, (1 1 4)
2θ = 69.26°, d 1.357, intensity 17.4, (2 0 0)

=====

# 3
This entry pairs a crystal structure of Mg3Si2Pd2 with its theoretical PXRD pattern. Radiation: CuKα. Structure: a crystal structure in Alexandria, relaxed with GGA-PBE.
Neutral-atom scattering factors, no anomalous dispersion.

Atomic structure:
```
data_Mg3Si2Pd2
_space_group_name_H-M_alt 'P b c m'
_space_group_IT_number 57
_cell_length_a 5.299
_cell_length_b 7.149
_cell_length_c 12.839
_cell_angle_alpha 90.00
_cell_angle_beta 90.00
_cell_angle_gamma 90.00
loop_
_space_group_symop_operation_xyz
'x,y,z'
'-x,-y,-z'
'-x,-y,z+1/2'
'x,y,-z+1/2'
'x,-y+1/2,-z'
'-x,y+1/2,z'
'-x,y+1/2,-z+1/2'
'x,-y+1/2,z+1/2'
loop_
_atom_site_label
_atom_site_fract_x
_atom_site_fract_y
_atom_site_fract_z
Mg1 0.130 0.103 0.101
Mg2 0.364 0.745 0.750
Si1 0.129 0.103 0.750
Si2 0.327 0.750 0.000
Pd1 0.370 0.045 0.594
```

Main lines, by angle (5° ≤ 2θ ≤ 70°):
2θ = 16.73°, d 5.299, intensity 56.7, (1 0 0)
2θ = 22.00°, d 4.041, intensity 54.9, (1 1 1)
2θ = 29.60°, d 3.018, intensity 40.8, (1 1 3)
2θ = 36.88°, d 2.438, intensity 61.7, (1 2 3)
2θ = 41.53°, d 2.175, intensity 54.6, (1 3 0)
2θ = 42.05°, d 2.149, intensity 100.0, (2 1 3)

=====

# 4
This entry pairs a crystal structure of NdPd5Au6 with its theoretical PXRD pattern. Radiation: CuKα. Structure: a crystal structure in Alexandria, relaxed with GGA-PBE.
Neutral-atom scattering factors, no anomalous dispersion.

Atomic structure:
```
data_NdPd5Au6
_space_group_name_H-M_alt 'I m m m'
_space_group_IT_number 71
_space_group_name_Hall '-I 2 2'
_cell_length_a 4.204
_cell_length_b 8.185
_cell_length_c 12.451
_cell_angle_alpha 90.00
_cell_angle_beta 90.00
_cell_angle_gamma 90.00
loop_
_atom_site_label
_atom_site_fract_x
_atom_site_fract_y
_atom_site_fract_z
Nd1 0.000 0.000 0.000
Pd1 0.000 0.000 0.328
Pd2 0.000 0.500 0.000
Pd3 0.000 0.500 0.338
Au1 0.000 0.229 0.500
Au2 0.000 0.262 0.171
```

Main lines, by angle (5° ≤ 2θ ≤ 70°):
2θ = 37.55°, d 2.395, intensity 100.0, (1 2 3)
2θ = 43.03°, d 2.102, intensity 17.5, (2 0 0)
2θ = 43.61°, d 2.075, intensity 16.5, (0 0 6)
2θ = 44.26°, d 2.046, intensity 14.6, (0 4 0)
2θ = 62.94°, d 1.477, intensity 11.1, (2 0 6)
2θ = 63.44°, d 1.466, intensity 10.0, (2 4 0)

=====

# 5
This entry pairs a crystal structure of Mg4Tc with its theoretical PXRD pattern. Radiation: CuKα. Structure: a crystal structure in Alexandria, relaxed with GGA-PBE.
Neutral-atom scattering factors, no anomalous dispersion.

Atomic structure:
```
data_Mg4Tc
_space_group_name_H-M_alt 'C 1 2/m 1'
_space_group_IT_number 12
_cell_length_a 14.166
_cell_length_b 4.735
_cell_length_c 2.853
_cell_angle_alpha 90.00
_cell_angle_beta 97.15
_cell_angle_gamma 90.00
loop_
_space_group_symop_operation_xyz
'x,y,z'
'-x,-y,-z'
'-x,y,-z'
'x,-y,z'
'x+1/2,y+1/2,z'
'-x+1/2,-y+1/2,-z'
'-x+1/2,y+1/2,-z'
'x+1/2,-y+1/2,z'
loop_
_atom_site_label
_atom_site_fract_x
_atom_site_fract_y
_atom_site_fract_z
Mg1 0.091 0.000 0.355
Mg2 0.186 0.500 0.775
Tc1 0.000 0.500 0.000
```

Main lines, by angle (5° ≤ 2θ ≤ 70°):
2θ = 12.60°, d 7.028, intensity 94.9, (2 0 0)
2θ = 19.79°, d 4.487, intensity 54.8, (1 1 0)
2θ = 37.20°, d 2.417, intensity 69.7, (5 1 0)
2θ = 38.01°, d 2.367, intensity 35.1, (0 2 0)
2θ = 38.26°, d 2.352, intensity 100.0, (4 0 -1)
2θ = 55.03°, d 1.669, intensity 22.9, (4 2 -1)

=====

# 6
This entry pairs a crystal structure of Zn2Ag3 with its theoretical PXRD pattern. Radiation: CuKα. Structure: a crystal structure in Alexandria, relaxed with GGA-PBE.
Neutral-atom scattering factors, no anomalous dispersion.

Atomic structure:
```
data_Zn2Ag3
_space_group_name_H-M_alt 'I m m m'
_space_group_IT_number 71
_space_group_name_Hall '-I 2 2'
_cell_length_a 2.974
_cell_length_b 3.749
_cell_length_c 14.860
_cell_angle_alpha 90.00
_cell_angle_beta 90.00
_cell_angle_gamma 90.00
loop_
_atom_site_label
_atom_site_fract_x
_atom_site_fract_y
_atom_site_fract_z
Zn1 0.000 0.000 0.101
Ag1 0.000 0.000 0.305
Ag2 0.000 0.000 0.500
```

Main lines, by angle (5° ≤ 2θ ≤ 70°):
2θ = 24.49°, d 3.635, intensity 4.1, (0 1 1)
2θ = 38.65°, d 2.329, intensity 100.0, (1 1 0)
2θ = 43.03°, d 2.102, intensity 36.3, (1 0 5)
2θ = 48.57°, d 1.875, intensity 12.7, (0 2 0)
2θ = 62.48°, d 1.486, intensity 11.1, (2 0 0)
2θ = 66.87°, d 1.399, intensity 18.2, (1 2 5)